Record 1
For SmSnSb, a crystal structure in Alexandria, relaxed with PBE gives the computed powder X-ray diffraction pattern in this record (Cu Kα X-rays).
Lines closer than 0.1° are merged.

The 12 most intense peaks (2θ from 15° to 90°), most intense first:
h k l, two_theta, d (Å), intensity
1 1 1, 34.01, 2.636, 100
0 0 2, 38.84, 2.318, 17
1 0 1, 27.77, 3.213, 17
0 2 0, 39.13, 2.302, 17
2 0 0, 40.42, 2.232, 16
0 1 0, 19.28, 4.604, 15
1 1 3, 67.25, 1.392, 14
1 3 1, 67.64, 1.385, 14
1 0 0, 19.89, 4.463, 14
0 1 1, 27.30, 3.267, 13
3 1 1, 69.41, 1.354, 13
0 2 2, 56.32, 1.634, 12

Atomic structure:
```
data_SmSnSb
_symmetry_space_group_name_H-M 'P m m m'
_symmetry_Int_Tables_number 47
_symmetry_space_group_name_Hall '-P 2 2'
_cell_length_a 4.463
_cell_length_b 4.604
_cell_length_c 4.637
_cell_angle_alpha 90.00
_cell_angle_beta 90.00
_cell_angle_gamma 90.00
loop_
_atom_site_label
_atom_site_fract_x
_atom_site_fract_y
_atom_site_fract_z
Sm1 0.000 0.000 0.000
Sn1 0.000 0.500 0.500
Sb1 0.500 0.000 0.500
```

---

Record 2
For SmHf2Zn9, a crystal structure in Alexandria, relaxed with PBE gives the computed powder X-ray diffraction pattern in this record (Cu Kα X-rays).
Lines closer than 0.1° are merged.

The 12 most intense peaks (2θ from 15° to 90°), most intense first:
h k l, two_theta, d (Å), intensity
1 1 6, 40.31, 2.238, 100
1 1 0, 33.90, 2.644, 48
1 0 7, 31.62, 2.830, 36
0 2 1, 39.51, 2.281, 33
0 1 8, 34.57, 2.595, 25
0 3 6, 65.00, 1.435, 24
2 2 0, 71.33, 1.322, 21
0 0 12, 43.09, 2.099, 14
2 0 5, 43.40, 2.085, 14
2 1 7, 59.23, 1.560, 14
0 2 4, 41.98, 2.152, 13
0 1 11, 44.21, 2.048, 11

Atomic structure:
```
data_SmHf2Zn9
_symmetry_space_group_name_H-M 'R -3 m'
_symmetry_Int_Tables_number 166
_symmetry_space_group_name_Hall '-R 3 2"'
_cell_length_a 5.2888
_cell_length_b 5.2888
_cell_length_c 25.1930
_cell_angle_alpha 90.00
_cell_angle_beta 90.00
_cell_angle_gamma 120.00
loop_
_atom_site_label
_atom_site_fract_x
_atom_site_fract_y
_atom_site_fract_z
Sm1 0.0000 0.0000 0.0000
Hf1 0.0000 0.0000 0.1445
Zn1 0.0000 0.0000 0.3355
Zn2 0.0000 0.0000 0.5000
Zn3 0.0082 0.5041 0.9139
```

---

Record 3
For ZrNbH3, a crystal structure in Alexandria, relaxed with PBE gives the computed powder X-ray diffraction pattern in this record (Cu Kα X-rays).
Lines closer than 0.1° are merged.

The 12 most intense peaks (2θ from 15° to 90°), most intense first:
h k l, two_theta, d (Å), intensity
0 1 2, 34.73, 2.583, 100
0 2 0, 35.25, 2.546, 96
2 2 -2, 50.27, 1.815, 23
0 3 2, 62.90, 1.478, 23
0 0 4, 61.91, 1.499, 18
2 0 2, 50.41, 1.810, 12
2 2 2, 62.98, 1.476, 11
2 3 0, 63.22, 1.471, 11
0 2 4, 73.29, 1.292, 11
2 3 -4, 83.96, 1.153, 10
2 4 -2, 84.85, 1.143, 10
4 2 0, 74.60, 1.272, 7

Atomic structure:
```
data_ZrNbH3
_symmetry_space_group_name_H-M 'P 1 21/c 1'
_symmetry_Int_Tables_number 14
_symmetry_space_group_name_Hall '-P 2ybc'
_cell_length_a 6.249
_cell_length_b 5.098
_cell_length_c 6.375
_cell_angle_alpha 90.00
_cell_angle_beta 109.99
_cell_angle_gamma 90.00
loop_
_atom_site_label
_atom_site_fract_x
_atom_site_fract_y
_atom_site_fract_z
Zr1 0.128 0.248 0.128
Nb1 0.382 0.748 0.874
H1 0.078 0.636 0.192
H2 0.316 0.109 0.445
H3 0.384 0.520 0.625
```

---

Record 4
For Cd2Pd8S, a crystal structure in Alexandria, relaxed with PBE gives the computed powder X-ray diffraction pattern in this record (Cu Kα X-rays).
Lines closer than 0.1° are merged.

The 12 most intense peaks (2θ from 15° to 90°), most intense first:
h k l, two_theta, d (Å), intensity
2 3 1, 42.17, 2.143, 100
0 5 1, 38.75, 2.324, 59
0 0 2, 38.07, 2.364, 44
2 2 0, 34.14, 2.626, 25
2 8 2, 77.63, 1.230, 21
2 3 3, 71.60, 1.318, 18
2 2 2, 52.05, 1.757, 17
2 8 0, 64.72, 1.440, 17
4 5 1, 78.61, 1.217, 14
0 5 3, 69.24, 1.357, 11
0 6 0, 40.56, 2.224, 10
4 0 2, 78.18, 1.223, 10

Atomic structure:
```
data_Cd2Pd8S
_symmetry_space_group_name_H-M 'I m m 2'
_symmetry_Int_Tables_number 44
_symmetry_space_group_name_Hall 'I 2 -2'
_cell_length_a 5.714
_cell_length_b 13.341
_cell_length_c 4.728
_cell_angle_alpha 90.00
_cell_angle_beta 90.00
_cell_angle_gamma 90.00
loop_
_atom_site_label
_atom_site_fract_x
_atom_site_fract_y
_atom_site_fract_z
Cd1 0.000 0.190 0.000
Pd1 0.000 0.312 0.502
Pd2 0.243 0.000 0.014
Pd3 0.243 0.125 0.500
S1 0.000 0.500 0.131
```

---

Record 5
For TlIn6Hg7, a crystal structure in Alexandria, relaxed with PBE gives the computed powder X-ray diffraction pattern in this record (Cu Kα X-rays).
Lines closer than 0.1° are merged.

The 12 most intense peaks (2θ from 15° to 90°), most intense first:
h k l, two_theta, d (Å), intensity
0 2 4, 29.61, 3.017, 100
2 1 3, 35.39, 2.536, 85
0 8 0, 36.91, 2.436, 82
0 6 2, 30.89, 2.895, 53
2 3 1, 31.86, 2.809, 37
0 6 4, 39.69, 2.271, 33
0 6 0, 27.42, 3.253, 33
2 7 3, 48.28, 1.885, 32
4 6 4, 72.01, 1.311, 29
2 5 7, 63.58, 1.463, 22
2 1 1, 29.04, 3.075, 19
0 4 4, 33.70, 2.659, 17

Atomic structure:
```
data_TlIn6Hg7
_symmetry_space_group_name_H-M 'I b a m'
_symmetry_Int_Tables_number 72
_symmetry_space_group_name_Hall '-I 2 2c'
_cell_length_a 6.425
_cell_length_b 19.518
_cell_length_c 12.688
_cell_angle_alpha 90.00
_cell_angle_beta 90.00
_cell_angle_gamma 90.00
loop_
_atom_site_label
_atom_site_fract_x
_atom_site_fract_y
_atom_site_fract_z
Tl1 0.000 0.000 0.250
In1 0.135 0.433 0.000
In2 0.136 0.325 0.360
Hg1 0.000 0.500 0.250
Hg2 0.131 0.068 0.000
Hg3 0.134 0.173 0.361
```

---

Record 6
For Zr7Sb4, a crystal structure in Alexandria, relaxed with PBE gives the computed powder X-ray diffraction pattern in this record (Cu Kα X-rays).
Lines closer than 0.1° are merged.

The 12 most intense peaks (2θ from 15° to 90°), most intense first:
h k l, two_theta, d (Å), intensity
1 4 1, 36.02, 2.493, 100
3 0 0, 33.86, 2.648, 99
1 2 -4, 35.88, 2.503, 72
3 2 -2, 35.63, 2.520, 69
3 1 -4, 39.33, 2.291, 67
2 4 -1, 38.32, 2.349, 62
0 1 4, 35.47, 2.531, 60
2 2 2, 36.86, 2.438, 57
2 3 -2, 33.00, 2.714, 55
1 3 -3, 33.94, 2.641, 43
3 2 0, 37.56, 2.394, 38
3 0 -2, 31.77, 2.817, 33

Atomic structure:
```
data_Zr7Sb4
_symmetry_space_group_name_H-M 'P 1 21/c 1'
_symmetry_Int_Tables_number 14
_symmetry_space_group_name_Hall '-P 2ybc'
_cell_length_a 8.551
_cell_length_b 11.246
_cell_length_c 11.191
_cell_angle_alpha 90.00
_cell_angle_beta 111.81
_cell_angle_gamma 90.00
loop_
_atom_site_label
_atom_site_fract_x
_atom_site_fract_y
_atom_site_fract_z
Zr1 0.011 0.079 0.210
Zr2 0.013 0.206 0.930
Zr3 0.203 0.000 0.556
Zr4 0.340 0.738 0.519
Zr5 0.353 0.224 0.172
Zr6 0.365 0.059 0.865
Zr7 0.397 0.561 0.841
Sb1 0.011 0.154 0.661
Sb2 0.226 0.507 0.562
Sb3 0.286 0.683 0.253
Sb4 0.320 0.176 0.421
```

---

Copy entry 3 word for word.
For ZrNbH3, a crystal structure in Alexandria, relaxed with PBE gives the computed powder X-ray diffraction pattern in this record (Cu Kα X-rays).
Lines closer than 0.1° are merged.

The 12 most intense peaks (2θ from 15° to 90°), most intense first:
h k l, two_theta, d (Å), intensity
0 1 2, 34.73, 2.583, 100
0 2 0, 35.25, 2.546, 96
2 2 -2, 50.27, 1.815, 23
0 3 2, 62.90, 1.478, 23
0 0 4, 61.91, 1.499, 18
2 0 2, 50.41, 1.810, 12
2 2 2, 62.98, 1.476, 11
2 3 0, 63.22, 1.471, 11
0 2 4, 73.29, 1.292, 11
2 3 -4, 83.96, 1.153, 10
2 4 -2, 84.85, 1.143, 10
4 2 0, 74.60, 1.272, 7

Atomic structure:
```
data_ZrNbH3
_symmetry_space_group_name_H-M 'P 1 21/c 1'
_symmetry_Int_Tables_number 14
_symmetry_space_group_name_Hall '-P 2ybc'
_cell_length_a 6.249
_cell_length_b 5.098
_cell_length_c 6.375
_cell_angle_alpha 90.00
_cell_angle_beta 109.99
_cell_angle_gamma 90.00
loop_
_atom_site_label
_atom_site_fract_x
_atom_site_fract_y
_atom_site_fract_z
Zr1 0.128 0.248 0.128
Nb1 0.382 0.748 0.874
H1 0.078 0.636 0.192
H2 0.316 0.109 0.445
H3 0.384 0.520 0.625
```